[1]
Structure and calculated X-ray powder pattern of BSF7 (a structure optimized by DFT (PBE); a wavelength of 1.5418 Å).
Peak positions follow from Bragg's law for the DFT cell and can differ from measured ones.

Structural model:
```
BSF7
1.0
9.683 0.000 0.000
0.000 5.789 0.000
0.000 0.000 9.169
B S F
4 4 28
direct
0.021 0.250 0.151 B
0.479 0.750 0.651 B
0.521 0.250 0.349 B
0.979 0.750 0.849 B
0.213 0.750 0.115 S
0.287 0.250 0.615 S
0.713 0.750 0.385 S
0.787 0.250 0.885 S
0.066 0.050 0.230 F
0.066 0.450 0.230 F
0.078 0.250 0.012 F
0.126 0.750 0.858 F
0.194 0.050 0.558 F
0.194 0.450 0.558 F
0.229 0.250 0.773 F
0.271 0.750 0.273 F
0.306 0.550 0.058 F
0.306 0.950 0.058 F
0.374 0.250 0.358 F
0.422 0.750 0.512 F
0.434 0.550 0.730 F
0.434 0.950 0.730 F
0.566 0.050 0.270 F
0.566 0.450 0.270 F
0.578 0.250 0.488 F
0.626 0.750 0.642 F
0.694 0.050 0.942 F
0.694 0.450 0.942 F
0.729 0.250 0.727 F
0.771 0.750 0.227 F
0.806 0.550 0.442 F
0.806 0.950 0.442 F
0.874 0.250 0.142 F
0.922 0.750 0.988 F
0.934 0.550 0.770 F
0.934 0.950 0.770 F
```

Principal peaks in the range 2θ = 10–80°, in order of rising 2θ:
two_theta	intensity
13.3	68
18.3	19
20.3	53
21.4	48
25.9	100
33.2	19
33.8	26
40.4	18
41.3	28
46.6	20


[2]
Structure and calculated X-ray powder pattern of La3Pm4Sc2 (a structure optimized by DFT (PBE); a wavelength of 1.5418 Å).
Peak positions follow from Bragg's law for the DFT cell and can differ from measured ones.

Structural model:
```
La3Pm4Sc2
1.0
5.698 -2.551 0.000
5.698 2.551 0.000
-3.531 0.000 10.133
La Pm Sc
3 4 2
direct
0.000 0.000 0.000 La
0.329 0.329 0.446 La
0.671 0.671 0.554 La
0.005 0.005 0.671 Pm
0.332 0.332 0.109 Pm
0.668 0.668 0.891 Pm
0.995 0.995 0.329 Pm
0.335 0.335 0.780 Sc
0.665 0.665 0.220 Sc
```

Principal peaks in the range 2θ = 10–80°, in order of rising 2θ:
two_theta	intensity
30.5	100
35.2	34
35.7	16
50.6	12
51.0	18
60.2	14
60.2	14
60.9	7
61.0	7
63.5	6